Calculated powder diffraction line list
Compound: HfGa4Ni2
Radiation: Cu Kα (weighted mean of Kα1 and Kα2)
Structure: a DFT-relaxed cell (GGA-PBE, Alexandria)
Peak positions follow from Bragg's law for the DFT cell and can differ from measured ones.

Structural model:
```
HfGa4Ni2
1.0
16.460 0.000 0.000
0.000 4.036 0.000
0.000 0.000 6.322
Hf Ga Ni
4 16 8
Direct
0.141 0.250 0.007 Hf
0.359 0.750 0.507 Hf
0.641 0.250 0.493 Hf
0.859 0.750 0.993 Hf
0.033 0.750 0.855 Ga
0.071 0.250 0.490 Ga
0.183 0.750 0.315 Ga
0.193 0.750 0.728 Ga
0.307 0.250 0.228 Ga
0.317 0.250 0.815 Ga
0.429 0.750 0.990 Ga
0.467 0.250 0.355 Ga
0.533 0.750 0.645 Ga
0.571 0.250 0.010 Ga
0.683 0.750 0.185 Ga
0.693 0.750 0.772 Ga
0.807 0.250 0.272 Ga
0.817 0.250 0.685 Ga
0.929 0.750 0.510 Ga
0.967 0.250 0.145 Ga
0.037 0.750 0.246 Ni
0.218 0.250 0.529 Ni
0.282 0.750 0.029 Ni
0.463 0.250 0.746 Ni
0.537 0.750 0.254 Ni
0.718 0.250 0.971 Ni
0.782 0.750 0.471 Ni
0.963 0.250 0.754 Ni
```

Principal peaks in the range 15 to 90 degrees two-theta, by intensity:
2θ/deg	I (rel.)
37.77	100
38.04	71
44.92	39
40.95	31
39.73	26
62.40	17
46.14	17
72.30	16